Starting from a DFT-relaxed cell (GGA-PBE, the Materials Project), the X-ray powder pattern of Tl3GeF7 was calculated for Cu Kα X-rays.

Principal peaks in the range 10° ≤ 2θ ≤ 90°, sorted by position:
Position (°2θ), I/Imax
24.16, 16
26.17, 100
28.36, 21
29.53, 25
30.70, 34
38.51, 20
43.12, 26
50.38, 17

Crystal structure
```
Tl3GeF7
1.0
8.2379 0.0000 0.0000
0.0000 8.2379 0.0000
0.0000 0.0000 6.0496
Tl Ge F
6 2 14
Direct
0.0000 0.0000 0.0000
0.2001 0.2999 0.5000
0.2999 0.7999 0.5000
0.5000 0.5000 0.0000
0.7001 0.2001 0.5000
0.7999 0.7001 0.5000
0.0000 0.5000 0.0000
0.5000 0.0000 0.0000
0.0000 0.0000 0.5000
0.1103 0.6103 0.2161
0.1103 0.6103 0.7839
0.1573 0.3427 0.0000
0.3427 0.8427 0.0000
0.3897 0.1103 0.2161
0.3897 0.1103 0.7839
0.5000 0.5000 0.5000
0.6103 0.8897 0.2161
0.6103 0.8897 0.7839
0.6573 0.1573 0.0000
0.8427 0.6573 0.0000
0.8897 0.3897 0.2161
0.8897 0.3897 0.7839
```